Computed XRD peak list of K4Pu3IO12 for λ = 1.5418 Å (Cu Kα), from the GGA-PBE geometry in Alexandria.
Kinematic intensities with the Lorentz-polarization factor, no thermal factor.

Main lines, by angle (10° ≤ 2θ ≤ 80°):
| two_theta | I (rel.) |
| --- | --- |
| 20.8 | 73 |
| 29.6 | 100 |
| 36.5 | 10 |
| 42.4 | 31 |
| 47.7 | 35 |
| 52.6 | 41 |
| 61.5 | 19 |
| 65.7 | 17 |
| 69.8 | 18 |
| 77.6 | 6 |

Cell and atoms:
Cell: 8.524 8.524 8.524 Å, 90.00 90.00 90.00°
Space group Im-3m (No. 229)
Symmetry-distinct sites (fractional):
K: 0.250 0.250 0.250 x8
Pu: 0.000 0.000 0.500 x6
I: 0.000 0.000 0.000 x2
O: 0.000 0.000 0.246 x12
O: 0.000 0.250 0.500 x12

***

Computed XRD peak list of KPu2IO4 for λ = 1.5418 Å (Cu Kα), from the GGA-PBE geometry in Alexandria.
Kinematic intensities with the Lorentz-polarization factor, no thermal factor.

Main lines, by angle (10° ≤ 2θ ≤ 80°):
| two_theta | I (rel.) |
| --- | --- |
| 17.5 | 24 |
| 22.2 | 20 |
| 28.4 | 100 |
| 31.6 | 31 |
| 35.4 | 14 |
| 45.2 | 17 |
| 48.1 | 22 |
| 54.2 | 34 |
| 58.7 | 13 |
| 77.6 | 13 |

Cell and atoms:
Cell: 4.010 4.010 10.155 Å, 90.00 90.00 90.00°
Space group P4/mmm (No. 123)
Symmetry-distinct sites (fractional):
K: 0.000 0.000 0.000 x1
Pu: 0.500 0.500 0.262 x2
I: 0.000 0.000 0.500 x1
O: 0.000 0.500 0.193 x4

***

Computed XRD peak list of KRb2I6O for λ = 1.5418 Å (Cu Kα), from the GGA-PBE geometry in Alexandria.
Kinematic intensities with the Lorentz-polarization factor, no thermal factor.

Main lines, by angle (10° ≤ 2θ ≤ 80°):
| two_theta | I (rel.) |
| --- | --- |
| 21.0 | 12 |
| 23.8 | 42 |
| 25.2 | 100 |
| 31.6 | 33 |
| 34.1 | 13 |
| 39.9 | 31 |
| 42.7 | 20 |
| 44.6 | 11 |
| 51.8 | 10 |
| 52.5 | 13 |

Cell and atoms:
Cell: 8.011 8.011 14.970 Å, 90.00 90.00 90.00°
Space group I4/mmm (No. 139)
Symmetry-distinct sites (fractional):
K: 0.000 0.000 0.000 x2
Rb: 0.000 0.500 0.250 x4
I: 0.000 0.000 0.227 x4
I: 0.207 0.207 0.500 x8
O: 0.000 0.000 0.500 x2

***

Computed XRD peak list of K3Rb4I3O2 for λ = 1.5418 Å (Cu Kα), from the GGA-PBE geometry in Alexandria.
Kinematic intensities with the Lorentz-polarization factor, no thermal factor.

Main lines, by angle (10° ≤ 2θ ≤ 80°):
| two_theta | I (rel.) |
| --- | --- |
| 22.8 | 25 |
| 23.6 | 15 |
| 25.8 | 21 |
| 29.3 | 100 |
| 30.5 | 19 |
| 31.7 | 31 |
| 33.1 | 27 |
| 46.5 | 20 |
| 54.9 | 19 |
| 55.4 | 19 |

Cell and atoms:
Cell: 5.409 5.649 29.312 Å, 90.00 90.00 90.00°
Space group Immm (No. 71)
Symmetry-distinct sites (fractional):
K: 0.000 0.000 0.000 x2
K: 0.000 0.500 0.408 x4
Rb: 0.000 0.000 0.185 x4
Rb: 0.000 0.500 0.092 x4
I: 0.000 0.000 0.317 x4
I: 0.000 0.000 0.500 x2
O: 0.000 0.000 0.092 x4

***

Computed XRD peak list of K2RuIO6 for λ = 1.5418 Å (Cu Kα), from the GGA-PBE geometry in Alexandria.
Kinematic intensities with the Lorentz-polarization factor, no thermal factor.

Main lines, by angle (10° ≤ 2θ ≤ 80°):
| two_theta | I (rel.) |
| --- | --- |
| 21.8 | 52 |
| 31.0 | 100 |
| 38.3 | 1 |
| 44.5 | 38 |
| 50.1 | 22 |
| 55.2 | 38 |
| 64.7 | 22 |
| 69.2 | 10 |
| 73.5 | 16 |
| 77.7 | 1 |

Cell and atoms:
Cell: 8.150 8.150 8.150 Å, 90.00 90.00 90.00°
Space group Fm-3m (No. 225)
Symmetry-distinct sites (fractional):
K: 0.250 0.250 0.250 x8
Ru: 0.000 0.000 0.000 x4
I: 0.000 0.000 0.500 x4
O: 0.000 0.000 0.246 x24

***

Computed XRD peak list of KSIO2 for λ = 1.5418 Å (Cu Kα), from the GGA-PBE geometry in Alexandria.
Kinematic intensities with the Lorentz-polarization factor, no thermal factor.

Main lines, by angle (10° ≤ 2θ ≤ 80°):
| two_theta | I (rel.) |
| --- | --- |
| 16.4 | 51 |
| 21.0 | 89 |
| 29.9 | 72 |
| 33.2 | 54 |
| 34.3 | 100 |
| 39.7 | 33 |
| 42.8 | 50 |
| 45.3 | 45 |
| 55.2 | 44 |
| 59.8 | 20 |

Cell and atoms:
Cell: 4.226 4.226 5.391 Å, 90.00 90.00 90.00°
Space group P4/mmm (No. 123)
Symmetry-distinct sites (fractional):
K: 0.000 0.000 0.000 x1
S: 0.500 0.500 0.500 x1
I: 0.500 0.500 0.000 x1
O: 0.000 0.500 0.500 x2

***

Computed XRD peak list of K2SmIO6 for λ = 1.5418 Å (Cu Kα), from the GGA-PBE geometry in Alexandria.
Kinematic intensities with the Lorentz-polarization factor, no thermal factor.

Main lines, by angle (10° ≤ 2θ ≤ 80°):
| two_theta | I (rel.) |
| --- | --- |
| 21.1 | 59 |
| 30.0 | 100 |
| 37.0 | 4 |
| 42.9 | 34 |
| 48.3 | 25 |
| 53.3 | 38 |
| 62.3 | 20 |
| 66.6 | 12 |
| 70.7 | 18 |
| 78.7 | 6 |

Cell and atoms:
Cell: 5.9579 5.9579 14.5936 Å, 90.00 90.00 120.00°
Space group R-3 (No. 148, hexagonal axes)
Symmetry-distinct sites (fractional):
K: 0.0000 0.0000 0.2500 x6
Sm: 0.0000 0.0000 0.0000 x3
I: 0.0000 0.0000 0.5000 x3
O: 0.0318 0.5145 0.2421 x18

***

Computed XRD peak list of K2SrIO4 for λ = 1.5418 Å (Cu Kα), from the GGA-PBE geometry in Alexandria.
Kinematic intensities with the Lorentz-polarization factor, no thermal factor.

Main lines, by angle (10° ≤ 2θ ≤ 80°):
| two_theta | I (rel.) |
| --- | --- |
| 18.2 | 51 |
| 27.3 | 46 |
| 31.1 | 100 |
| 33.0 | 15 |
| 39.0 | 34 |
| 50.7 | 49 |
| 57.6 | 14 |
| 63.8 | 11 |
| 64.9 | 12 |
| 79.2 | 12 |

Cell and atoms:
Cell: 6.528 6.528 7.346 Å, 90.00 90.00 90.00°
Space group I-4 (No. 82)
Symmetry-distinct sites (fractional):
K: 0.000 0.000 0.000 x2
K: 0.000 0.500 0.250 x2
Sr: 0.000 0.500 0.750 x2
I: 0.000 0.000 0.500 x2
O: 0.177 0.260 0.540 x8

***

Computed XRD peak list of KSrIO6 for λ = 1.5418 Å (Cu Kα), from the GGA-PBE geometry in Alexandria.
Kinematic intensities with the Lorentz-polarization factor, no thermal factor.

Main lines, by angle (10° ≤ 2θ ≤ 80°):
| two_theta | I (rel.) |
| --- | --- |
| 17.2 | 56 |
| 17.5 | 36 |
| 26.2 | 93 |
| 26.5 | 95 |
| 26.9 | 84 |
| 29.9 | 55 |
| 30.8 | 50 |
| 31.2 | 58 |
| 40.1 | 100 |
| 42.6 | 48 |

Cell and atoms:
Cell: 4.507 5.737 5.813 Å, 62.33 88.15 87.32°
Space group P1 (No. 1)
Symmetry-distinct sites (fractional):
K: 0.000 0.000 0.000 x1
Sr: 0.613 0.669 0.641 x1
I: 0.286 0.328 0.333 x1
O: 0.030 0.041 0.510 x1
O: 0.047 0.487 0.029 x1
O: 0.113 0.534 0.478 x1
O: 0.474 0.098 0.223 x1
O: 0.538 0.608 0.113 x1
O: 0.549 0.206 0.620 x1

***

Computed XRD peak list of K4Ti4I12O for λ = 1.5418 Å (Cu Kα), from the GGA-PBE geometry in Alexandria.
Kinematic intensities with the Lorentz-polarization factor, no thermal factor.

Main lines, by angle (10° ≤ 2θ ≤ 80°):
| two_theta | I (rel.) |
| --- | --- |
| 12.5 | 28 |
| 23.4 | 27 |
| 25.5 | 39 |
| 28.6 | 60 |
| 29.7 | 100 |
| 40.8 | 14 |
| 43.7 | 27 |
| 44.1 | 14 |
| 51.3 | 15 |
| 53.4 | 17 |

Cell and atoms:
Cell: 13.973 13.973 8.218 Å, 90.00 90.00 90.00°
Space group I4/m (No. 87)
Symmetry-distinct sites (fractional):
K: 0.084 0.321 0.000 x8
Ti: 0.028 0.141 0.500 x8
I: 0.062 0.347 0.500 x8
I: 0.116 0.828 0.259 x16
O: 0.000 0.000 0.500 x2

***

Computed XRD peak list of KUI2O8 for λ = 1.5418 Å (Cu Kα), from the GGA-PBE geometry in Alexandria.
Kinematic intensities with the Lorentz-polarization factor, no thermal factor.

Main lines, by angle (10° ≤ 2θ ≤ 80°):
| two_theta | I (rel.) |
| --- | --- |
| 11.9 | 52 |
| 15.8 | 22 |
| 19.8 | 100 |
| 27.6 | 72 |
| 28.8 | 62 |
| 30.1 | 23 |
| 40.3 | 28 |
| 44.4 | 24 |
| 49.5 | 31 |
| 57.2 | 20 |

Cell and atoms:
Cell: 6.4751 6.4751 7.4302 Å, 90.00 90.00 120.00°
Space group P-3m1 (No. 164)
Symmetry-distinct sites (fractional):
K: 0.0000 0.0000 0.0000 x1
U: 0.0000 0.0000 0.5000 x1
I: 0.3333 0.6667 0.3109 x2
O: 0.1541 0.3082 0.3267 x6
O: 0.3333 0.6667 0.0714 x2

***

Computed XRD peak list of KZnI3O2 for λ = 1.5418 Å (Cu Kα), from the GGA-PBE geometry in Alexandria.
Kinematic intensities with the Lorentz-polarization factor, no thermal factor.

Main lines, by angle (10° ≤ 2θ ≤ 80°):
| two_theta | I (rel.) |
| --- | --- |
| 12.0 | 64 |
| 15.4 | 45 |
| 15.8 | 62 |
| 22.0 | 70 |
| 22.9 | 82 |
| 23.7 | 100 |
| 26.5 | 50 |
| 28.5 | 59 |
| 31.0 | 53 |
| 43.8 | 39 |

Cell and atoms:
Cell: 8.562 9.183 14.787 Å, 90.00 90.00 90.00°
Space group P2_12_12_1 (No. 19)
Symmetry-distinct sites (fractional):
K: 0.089 0.013 0.093 x4
Zn: 0.138 0.456 0.081 x4
I: 0.028 0.832 0.541 x4
I: 0.139 0.336 0.237 x4
I: 0.196 0.322 0.546 x4
O: 0.164 0.011 0.841 x4
O: 0.170 0.056 0.763 x4